(1)
Theoretical X-ray diffraction stick pattern of MgFeO2 for λ = 1.5418 Å (Cu Kα), from a GGA+U-relaxed structure.
Kinematic intensities with the Lorentz-polarization factor, no thermal factor.

Main lines, by angle (2θ from 5° to 70°):
2θ (°)  I/Imax  hkl
21.73  71  0 0 2
22.27  55  0 2 0
25.63  51  0 2 -1
32.62  100  0 2 -2
34.57  44  0 3 1
34.80  77  1 0 2
34.95  66  1 1 -1
48.44  62  -1 2 2
49.19  51  1 3 3
59.27  49  1 0 -4

Cell and atoms:
Cell lengths 2.9926, 8.1228, 8.3379 Å; angles 83.72, 79.80, 80.51 degrees
Space group P-1 (No. 2)
One atom of each set of equivalent atoms:
1 Mg 0.1224 0.0770 0.2611
2 Mg 0.3137 0.2861 0.5852
3 Fe 0.0614 0.5921 0.7502
4 Fe 0.2974 0.7686 0.0951
5 O 0.1197 0.2619 0.0633
6 O 0.2890 0.0998 0.7627
7 O 0.2955 0.5825 0.3242
8 O 0.4919 0.7791 0.6355

---

(2)
Theoretical X-ray diffraction stick pattern of Ba3LaV3O12 for λ = 1.5418 Å (Cu Kα), from a GGA+U-relaxed structure.
Kinematic intensities with the Lorentz-polarization factor, no thermal factor.

Main lines, by angle (2θ from 5° to 70°):
2θ (°)  I/Imax  hkl
18.20  17  1 1 -1
27.55  100  5 1 1
27.67  47  0 0 3
30.54  84  5 1 -2
31.02  46  0 2 0
41.13  18  10 0 -1
42.04  42  0 2 3
46.90  27  5 1 4
53.08  17  5 3 1
54.88  15  5 3 -2

Cell and atoms:
Cell lengths 22.2011, 5.7665, 9.6992 Å; angles 90.00, 94.39, 90.00 degrees
Space group Cm (No. 8)
One atom of each set of equivalent atoms:
1 Ba 0.0000 0.0000 0.0000
2 Ba 0.0246 0.5000 0.3373
3 Ba 0.0584 0.0000 0.6518
4 Ba 0.1641 0.5000 0.6680
5 Ba 0.1953 0.0000 0.0022
6 Ba 0.3666 0.5000 0.6484
7 La 0.2404 0.5000 0.3300
8 La 0.3777 0.0000 0.0279
9 V 0.0967 0.5000 0.9971
10 V 0.1367 0.0000 0.3407
11 V 0.2599 0.0000 0.6473
12 V 0.3005 0.5000 0.0005
13 V 0.4175 0.5000 0.2999
14 V 0.4660 0.0000 0.6813
15 O 0.0247 0.5000 0.0563
16 O 0.0385 0.5000 0.6166
17 O 0.0835 0.0000 0.2018
18 O 0.1020 0.2583 0.8910
19 O 0.1258 0.2468 0.4406
20 O 0.1565 0.5000 0.1304
21 O 0.1891 0.0000 0.7125
22 O 0.2089 0.0000 0.2820
23 O 0.2444 0.5000 0.8711
24 O 0.2625 0.2551 0.5483
25 O 0.2957 0.2492 0.1019
26 O 0.3145 0.0000 0.7902
27 O 0.3458 0.5000 0.3617
28 O 0.3712 0.5000 0.9382
29 O 0.4132 0.0000 0.5451
30 O 0.4302 0.2583 0.1949
31 O 0.4581 0.2503 0.7797
32 O 0.4716 0.5000 0.4369

---

(3)
Theoretical X-ray diffraction stick pattern of MgMn6O8F4 for λ = 1.5418 Å (Cu Kα), from a GGA+U-relaxed structure.
Kinematic intensities with the Lorentz-polarization factor, no thermal factor.

Main lines, by angle (2θ from 5° to 70°):
2θ (°)  I/Imax  hkl
22.84  100  1 1 0
26.46  89  1 -1 0
34.83  34  0 1 3
35.12  29  0 1 -3
35.39  39  1 0 -3
48.04  23  1 2 3
48.89  19  1 2 -3
52.38  31  1 -2 3
54.47  20  2 -2 0
62.77  26  0 0 6

Cell and atoms:
Cell lengths 5.1252, 5.1741, 8.8862 Å; angles 89.34, 88.85, 81.70 degrees
Space group P1 (No. 1)
One atom of each set of equivalent atoms:
1 Mg 0.0000 0.0000 0.0000
2 Mn 0.0592 0.5471 0.6533
3 Mn 0.0744 0.5073 0.0093
4 Mn 0.4984 0.9583 0.1710
5 Mn 0.5221 0.9351 0.4988
6 Mn 0.5271 0.9126 0.8175
7 Mn 0.9075 0.4118 0.3220
8 O 0.1399 0.2275 0.1570
9 O 0.3551 0.7588 0.6595
10 O 0.3552 0.7798 0.0014
11 O 0.6452 0.1372 0.3314
12 O 0.6555 0.0963 0.6560
13 O 0.8044 0.6479 0.4874
14 O 0.8537 0.7068 0.1584
15 O 0.8993 0.7196 0.8542
16 F 0.1567 0.2407 0.8455
17 F 0.1757 0.2443 0.4954
18 F 0.3427 0.7570 0.3451
19 F 0.6459 0.1806 0.9822

---

(4)
Theoretical X-ray diffraction stick pattern of MgMn4Zn2O8 for λ = 1.5418 Å (Cu Kα), from a GGA+U-relaxed structure.
Kinematic intensities with the Lorentz-polarization factor, no thermal factor.

Main lines, by angle (2θ from 5° to 70°):
2θ (°)  I/Imax  hkl
10.60  100  0 0 1
11.15  76  0 1 0
16.17  34  0 1 1
25.08  29  0 1 2
32.66  67  0 2 2
33.04  67  0 1 -3
33.39  74  1 -1 1
34.42  37  1 0 -2
34.55  74  0 3 -1
56.53  30  1 -4 2

Cell and atoms:
Cell lengths 3.0414, 8.0281, 8.4541 Å; angles 94.79, 97.18, 96.77 degrees
Space group P1 (No. 1)
One atom of each set of equivalent atoms:
1 Mg 0.0000 0.0000 0.0000
2 Mn 0.1370 0.3397 0.1286
3 Mn 0.2456 0.8473 0.6451
4 Mn 0.5635 0.0495 0.3375
5 Mn 0.7334 0.5709 0.8239
6 Zn 0.1564 0.4509 0.4502
7 Zn 0.5514 0.7032 0.1913
8 O 0.1022 0.8654 0.1858
9 O 0.1180 0.2087 0.3736
10 O 0.1824 0.5661 0.6616
11 O 0.2737 0.5399 0.9770
12 O 0.5632 0.1570 0.0475
13 O 0.6292 0.5017 0.2989
14 O 0.7061 0.8890 0.5046
15 O 0.8041 0.8485 0.8035

---

(5)
Theoretical X-ray diffraction stick pattern of KAlCo3Si3H2O12 for λ = 1.5418 Å (Cu Kα), from a GGA+U-relaxed structure.
Kinematic intensities with the Lorentz-polarization factor, no thermal factor.

Main lines, by angle (2θ from 5° to 70°):
2θ (°)  I/Imax  hkl
8.49  100  0 0 1
25.64  23  0 0 3
27.67  7  0 1 -2
33.84  34  -1 1 1
36.35  15  -1 1 2
39.12  9  1 2 3
40.70  13  1 2 -2
44.49  8  1 2 4
53.28  8  1 2 -4
59.58  13  3 3 1

Cell and atoms:
Cell lengths 5.3713, 5.3743, 10.5715 Å; angles 80.32, 85.38, 60.08 degrees
Space group P1 (No. 1)
One atom of each set of equivalent atoms:
1 K 0.0000 0.0000 0.0000
2 Al 0.3334 0.4034 0.7893
3 Co 0.3360 0.8226 0.5238
4 Co 0.6626 0.1592 0.5246
5 Co 0.9989 0.4969 0.5233
6 Si 0.3341 0.2471 0.2517
7 Si 0.6656 0.7356 0.7948
8 Si 0.6680 0.5824 0.2516
9 H 0.9999 0.1062 0.7115
10 H 0.9958 0.8848 0.3250
11 O 0.9997 0.1312 0.6187
12 O 0.0007 0.4579 0.1928
13 O 0.3345 0.1916 0.4061
14 O 0.3355 0.4586 0.6202
15 O 0.4458 0.6158 0.8509
16 O 0.4781 0.9348 0.1920
17 O 0.5224 0.4122 0.1944
18 O 0.5660 0.0376 0.8507
19 O 0.6637 0.7896 0.6347
20 O 0.6706 0.5330 0.4060
21 O 0.9878 0.4955 0.8495
22 O 0.9952 0.8637 0.4177

---

(6)
Theoretical X-ray diffraction stick pattern of Sr3MgFe2Br2O5 for λ = 1.5418 Å (Cu Kα), from a GGA+U-relaxed structure.
Kinematic intensities with the Lorentz-polarization factor, no thermal factor.

Main lines, by angle (2θ from 5° to 70°):
2θ (°)  I/Imax  hkl
5.26  100  0 0 1
10.53  13  0 0 2
26.00  5  1 1 -3
31.76  24  0 2 0
32.87  53  1 1 -5
33.55  6  2 0 1
45.53  16  2 2 -1
57.23  10  1 3 4
57.35  10  3 1 -6
66.35  5  0 4 0

Cell and atoms:
Cell lengths 5.6364, 5.6337, 17.0257 Å; angles 90.00, 99.31, 90.00 degrees
Space group C2 (No. 5)
One atom of each set of equivalent atoms:
1 Sr 0.0000 0.0000 0.0000
2 Sr 0.1107 0.9998 0.2253
3 Mg 0.0000 0.7415 0.5000
4 Fe 0.0568 0.4998 0.1154
5 Br 0.1555 0.4999 0.3190
6 O 0.0000 0.4999 0.0000
7 O 0.1843 0.2499 0.8664
8 O 0.1843 0.7497 0.8665

---

Number 2 is which compound? Ba3LaV3O12